Simulated XRD peak list of Ac2CuRhO6 for a wavelength of 1.5418 Å, from a structure optimized by DFT (GGA-PBE).

Lattice parameters (Å, degrees): 5.7347 5.7526 9.8815 90.00 125.45 90.00
Space group P2_1/c (No. 14)
One atom of each set of equivalent atoms:
1 Ac 0.2438 0.0416 0.2503 (multiplicity 4)
2 Cu 0.5000 0.0000 0.0000 (multiplicity 2)
3 Rh 0.0000 0.0000 0.5000 (multiplicity 2)
4 O 0.1679 0.2161 0.9604 (multiplicity 4)
5 O 0.2460 0.7083 0.9612 (multiplicity 4)
6 O 0.3223 0.0112 0.7491 (multiplicity 4)

Main lines, by intensity (10 to 90 degrees two-theta):
31.3 deg, d 2.862, I = 100; 31.3 deg, d 2.858, I = 66; 44.6 deg, d 2.031, I = 30; 55.6 deg, d 1.654, I = 29; 31.1 deg, d 2.876, I = 29; 55.8 deg, d 1.648, I = 27; 38.5 deg, d 2.337, I = 23; 21.9 deg, d 4.061, I = 23; 55.4 deg, d 1.657, I = 18; 65.3 deg, d 1.429, I = 18

Simulated XRD peak list of AcCuRu2O7 for a wavelength of 1.5418 Å, from a structure optimized by DFT (GGA-PBE).

Lattice parameters (Å, degrees): 3.9121 3.9121 18.4268 90.00 90.00 90.00
Space group I-4m2 (No. 119)
One atom of each set of equivalent atoms:
1 Ac 0.0000 0.0000 0.0000 (multiplicity 2)
2 Cu 0.0000 0.5000 0.2500 (multiplicity 2)
3 Ru 0.0000 0.0000 0.3823 (multiplicity 4)
4 O 0.0000 0.0000 0.2808 (multiplicity 4)
5 O 0.0000 0.0000 0.5000 (multiplicity 2)
6 O 0.0000 0.5000 0.1009 (multiplicity 4)
7 O 0.0000 0.5000 0.6000 (multiplicity 4)

Main lines, by intensity (10 to 90 degrees two-theta):
27.0 deg, d 3.300, I = 100; 33.4 deg, d 2.683, I = 59; 33.8 deg, d 2.649, I = 33; 46.4 deg, d 1.956, I = 33; 32.4 deg, d 2.766, I = 29; 54.5 deg, d 1.683, I = 29; 58.4 deg, d 1.581, I = 25; 39.1 deg, d 2.303, I = 20; 62.3 deg, d 1.491, I = 20; 44.1 deg, d 2.055, I = 18

Simulated XRD peak list of AcCu2RuO8 for a wavelength of 1.5418 Å, from a structure optimized by DFT (GGA-PBE).

Lattice parameters (Å, degrees): 7.0083 7.0083 6.5180 90.00 90.00 90.00
Space group I-4m2 (No. 119)
One atom of each set of equivalent atoms:
1 Ac 0.0000 0.0000 0.0000 (multiplicity 2)
2 Cu 0.0000 0.0000 0.5000 (multiplicity 2)
3 Cu 0.0000 0.5000 0.7500 (multiplicity 2)
4 Ru 0.0000 0.5000 0.2500 (multiplicity 2)
5 O 0.0000 0.2167 0.3129 (multiplicity 8)
6 O 0.0000 0.3479 0.9822 (multiplicity 8)

Main lines, by intensity (10 to 90 degrees two-theta):
25.4 deg, d 3.504, I = 100; 32.9 deg, d 2.723, I = 74; 49.8 deg, d 1.833, I = 62; 18.6 deg, d 4.773, I = 43; 36.3 deg, d 2.478, I = 24; 63.1 deg, d 1.473, I = 18; 31.7 deg, d 2.825, I = 16; 52.2 deg, d 1.752, I = 15; 62.9 deg, d 1.478, I = 15; 58.9 deg, d 1.567, I = 14

Simulated XRD peak list of AcCuSbO5 for a wavelength of 1.5418 Å, from a structure optimized by DFT (GGA-PBE).

Lattice parameters (Å, degrees): 6.5056 9.7334 7.4125 90.00 107.71 90.00
Space group C2/c (No. 15)
One atom of each set of equivalent atoms:
1 Ac 0.0000 0.1599 0.2500 (multiplicity 4)
2 Cu 0.0000 0.1792 0.7500 (multiplicity 4)
3 Sb 0.0000 0.5000 0.0000 (multiplicity 4)
4 O 0.0000 0.4243 0.2500 (multiplicity 4)
5 O 0.0868 0.3060 0.5855 (multiplicity 8)
6 O 0.1828 0.0473 0.9446 (multiplicity 8)

Main lines, by intensity (10 to 90 degrees two-theta):
31.1 deg, d 2.874, I = 100; 26.6 deg, d 3.352, I = 79; 28.8 deg, d 3.099, I = 77; 31.3 deg, d 2.858, I = 47; 18.3 deg, d 4.837, I = 36; 52.5 deg, d 1.743, I = 30; 22.2 deg, d 4.007, I = 29; 34.1 deg, d 2.629, I = 28; 57.3 deg, d 1.609, I = 23; 45.3 deg, d 2.004, I = 22

Simulated XRD peak list of AcSmCu2O5 for a wavelength of 1.5418 Å, from a structure optimized by DFT (GGA-PBE).

Lattice parameters (Å, degrees): 3.9265 3.9265 7.3047 90.00 90.00 90.00
Space group P4/mmm (No. 123)
One atom of each set of equivalent atoms:
1 Ac 0.0000 0.0000 0.0000 (multiplicity 1)
2 Sm 0.0000 0.0000 0.5000 (multiplicity 1)
3 Cu 0.5000 0.5000 0.2870 (multiplicity 2)
4 O 0.0000 0.5000 0.2934 (multiplicity 4)
5 O 0.5000 0.5000 0.0000 (multiplicity 1)

Main lines, by intensity (10 to 90 degrees two-theta):
33.5 deg, d 2.674, I = 100; 32.2 deg, d 2.776, I = 51; 58.3 deg, d 1.583, I = 41; 46.2 deg, d 1.963, I = 31; 22.6 deg, d 3.927, I = 26; 40.8 deg, d 2.210, I = 26; 60.7 deg, d 1.526, I = 16; 70.4 deg, d 1.337, I = 12; 24.4 deg, d 3.652, I = 10; 67.5 deg, d 1.388, I = 9

Simulated XRD peak list of Sr3Ac3CuO8 for a wavelength of 1.5418 Å, from a structure optimized by DFT (GGA-PBE).

Lattice parameters (Å, degrees): 12.5154 7.4672 7.3993 90.00 126.20 90.00
Space group C2/m (No. 12)
One atom of each set of equivalent atoms:
1 Sr 0.0000 0.0000 0.0000 (multiplicity 2)
2 Sr 0.2500 0.2500 0.5000 (multiplicity 4)
3 Ac 0.0000 0.5000 0.5000 (multiplicity 2)
4 Ac 0.2500 0.2500 0.0000 (multiplicity 4)
5 Cu 0.0000 0.0000 0.5000 (multiplicity 2)
6 O 0.0051 0.2651 0.7544 (multiplicity 8)
7 O 0.2075 0.0000 0.7194 (multiplicity 4)
8 O 0.2482 0.0000 0.2464 (multiplicity 4)

Main lines, by intensity (10 to 90 degrees two-theta):
34.1 deg, d 2.628, I = 100; 29.8 deg, d 3.002, I = 83; 29.9 deg, d 2.984, I = 82; 14.8 deg, d 5.968, I = 67; 50.1 deg, d 1.821, I = 64; 35.6 deg, d 2.525, I = 43; 28.2 deg, d 3.166, I = 29; 58.3 deg, d 1.583, I = 28; 58.6 deg, d 1.575, I = 27; 16.9 deg, d 5.256, I = 25